No. 1
Structure and calculated powder X-ray diffraction pattern of GaTe2Au (a PBE-relaxed structure; CuKα).

Crystal structure
```
data_GaTe2Au
_chemical_formula_sum 'Ga1 Te2 Au1'
_cell_length_a 4.3611
_cell_length_b 4.9890
_cell_length_c 6.2955
_cell_angle_alpha 88.46
_cell_angle_beta 87.08
_cell_angle_gamma 83.68
_space_group_name_H-M_alt 'P 1'
_space_group_IT_number 1
_space_group_name_Hall 'P 1'
loop_
_atom_site_label
_atom_site_fract_x
_atom_site_fract_y
_atom_site_fract_z
Ga1 0.0000 0.0000 0.0000
Te1 0.0956 0.6438 0.7007
Te2 0.4603 0.0921 0.2335
Au1 0.6281 0.4117 0.8964
```

Main lines, in order of rising 2θ (2θ from 10° to 90°):
- 2θ 14.09, I 918
- 2θ 22.60, I 1000
- 2θ 24.40, I 419
- 2θ 28.82, I 514
- 2θ 30.19, I 445
- 2θ 36.12, I 263
- 2θ 37.66, I 222
- 2θ 39.83, I 308
- 2θ 40.45, I 262
- 2θ 47.23, I 255


No. 2
Structure and calculated powder X-ray diffraction pattern of ThGa3Au3 (a PBE-relaxed structure; CuKα).

Crystal structure
```
data_ThGa3Au3
_chemical_formula_sum 'Th2 Ga6 Au6'
_cell_length_a 6.9759
_cell_length_b 4.6272
_cell_length_c 9.1456
_cell_angle_alpha 90.00
_cell_angle_beta 108.29
_cell_angle_gamma 90.00
_space_group_name_H-M_alt 'P 1 21/m 1'
_space_group_IT_number 11
_space_group_name_Hall '-P 2yb'
loop_
_atom_site_label
_atom_site_fract_x
_atom_site_fract_y
_atom_site_fract_z
Th1 0.1549 0.2500 0.2899
Ga1 0.1184 0.2500 0.9148
Ga2 0.4854 0.7500 0.8735
Ga3 0.4960 0.2500 0.6615
Au1 0.0908 0.2500 0.6219
Au2 0.2537 0.7500 0.0490
Au3 0.3265 0.7500 0.5633
```

Main lines, in order of rising 2θ (2θ from 10° to 90°):
- 2θ 28.32, I 756
- 2θ 33.27, I 1000
- 2θ 34.08, I 503
- 2θ 34.42, I 484
- 2θ 35.47, I 602
- 2θ 37.40, I 260
- 2θ 38.93, I 858
- 2θ 43.03, I 247
- 2θ 45.52, I 271
- 2θ 67.86, I 299


No. 3
Structure and calculated powder X-ray diffraction pattern of ThGaAu2 (a PBE-relaxed structure; CuKα).

Crystal structure
```
data_ThGaAu2
_chemical_formula_sum 'Th4 Ga4 Au8'
_cell_length_a 4.6497
_cell_length_b 11.9456
_cell_length_c 6.2851
_cell_angle_alpha 90.00
_cell_angle_beta 90.00
_cell_angle_gamma 90.00
_space_group_name_H-M_alt 'A m a 2'
_space_group_IT_number 40
_space_group_name_Hall 'A 2 -2a'
loop_
_atom_site_label
_atom_site_fract_x
_atom_site_fract_y
_atom_site_fract_z
Th1 0.2500 0.1933 0.0000
Ga1 0.2500 0.4336 0.7450
Au1 0.2500 0.1307 0.4887
Au2 0.2500 0.4250 0.2743
```

Main lines, in order of rising 2θ (2θ from 10° to 90°):
- 2θ 15.93, I 131
- 2θ 32.19, I 299
- 2θ 32.86, I 414
- 2θ 35.73, I 499
- 2θ 37.69, I 1000
- 2θ 38.73, I 370
- 2θ 40.39, I 143
- 2θ 51.21, I 165
- 2θ 69.42, I 171
- 2θ 70.71, I 125


No. 4
Structure and calculated powder X-ray diffraction pattern of Th3Ga9Au2 (a PBE-relaxed structure; CuKα).

Crystal structure
```
data_Th3Ga9Au2
_chemical_formula_sum 'Th6 Ga18 Au4'
_cell_length_a 4.3220
_cell_length_b 10.3611
_cell_length_c 12.7559
_cell_angle_alpha 90.00
_cell_angle_beta 90.00
_cell_angle_gamma 90.00
_space_group_name_H-M_alt 'I m m m'
_space_group_IT_number 71
_space_group_name_Hall '-I 2 2'
loop_
_atom_site_label
_atom_site_fract_x
_atom_site_fract_y
_atom_site_fract_z
Th1 0.0000 0.0000 0.0000
Th2 0.0000 0.0000 0.3229
Ga1 0.0000 0.2718 0.1380
Ga2 0.0000 0.3753 0.3319
Ga3 0.0000 0.5000 0.0000
Au1 0.0000 0.2245 0.5000
```

Main lines, in order of rising 2θ (2θ from 10° to 90°):
- 2θ 22.29, I 130
- 2θ 33.20, I 161
- 2θ 33.43, I 223
- 2θ 34.28, I 1000
- 2θ 34.63, I 137
- 2θ 41.80, I 236
- 2θ 42.52, I 179
- 2θ 61.15, I 122
- 2θ 61.83, I 129
- 2θ 71.50, I 123


No. 5
Structure and calculated powder X-ray diffraction pattern of Th4GaAu (a PBE-relaxed structure; CuKα).

Crystal structure
```
data_Th4GaAu
_chemical_formula_sum 'Th8 Ga2 Au2'
_cell_length_a 7.5634
_cell_length_b 7.5634
_cell_length_c 5.8239
_cell_angle_alpha 90.00
_cell_angle_beta 90.00
_cell_angle_gamma 90.00
_space_group_name_H-M_alt 'P 4/m c c'
_space_group_IT_number 124
_space_group_name_Hall '-P 4 2c'
loop_
_atom_site_label
_atom_site_fract_x
_atom_site_fract_y
_atom_site_fract_z
Th1 0.1560 0.3397 0.0000
Ga1 0.0000 0.0000 0.2500
Au1 0.5000 0.5000 0.2500
```

Main lines, in order of rising 2θ (2θ from 10° to 90°):
- 2θ 30.56, I 1000
- 2θ 30.70, I 102
- 2θ 35.09, I 216
- 2θ 37.61, I 352
- 2θ 39.04, I 225
- 2θ 52.29, I 151
- 2θ 54.50, I 205
- 2θ 58.17, I 136
- 2θ 60.93, I 203
- 2θ 68.75, I 137


No. 6
Structure and calculated powder X-ray diffraction pattern of Th3GaAu (a PBE-relaxed structure; CuKα).

Crystal structure
```
data_Th3GaAu
_chemical_formula_sum 'Th12 Ga4 Au4'
_cell_length_a 7.9987
_cell_length_b 16.1846
_cell_length_c 4.8173
_cell_angle_alpha 90.00
_cell_angle_beta 90.00
_cell_angle_gamma 90.00
_space_group_name_H-M_alt 'C m m m'
_space_group_IT_number 65
_space_group_name_Hall '-C 2 2'
loop_
_atom_site_label
_atom_site_fract_x
_atom_site_fract_y
_atom_site_fract_z
Th1 0.0000 0.1754 0.0000
Th2 0.1781 0.5000 0.5000
Th3 0.2500 0.2500 0.5000
Ga1 0.0000 0.3716 0.0000
Au1 0.0000 0.0845 0.5000
```

Main lines, in order of rising 2θ (2θ from 10° to 90°):
- 2θ 18.42, I 591
- 2θ 19.85, I 588
- 2θ 28.82, I 793
- 2θ 29.02, I 708
- 2θ 31.09, I 565
- 2θ 31.45, I 1000
- 2θ 34.08, I 427
- 2θ 35.24, I 931
- 2θ 37.33, I 770
- 2θ 49.59, I 574


No. 7
Structure and calculated powder X-ray diffraction pattern of TmThGaAu (a PBE-relaxed structure; CuKα).

Crystal structure
```
data_TmThGaAu
_chemical_formula_sum 'Tm2 Th2 Ga2 Au2'
_cell_length_a 4.4355
_cell_length_b 4.0205
_cell_length_c 11.1534
_cell_angle_alpha 90.00
_cell_angle_beta 90.00
_cell_angle_gamma 90.00
_space_group_name_H-M_alt 'A m m 2'
_space_group_IT_number 38
_space_group_name_Hall 'A 2 -2'
loop_
_atom_site_label
_atom_site_fract_x
_atom_site_fract_y
_atom_site_fract_z
Tm1 0.0000 0.0000 0.0000
Th1 0.5000 0.0000 0.7192
Ga1 0.0000 0.0000 0.2852
Au1 0.5000 0.0000 0.4457
```

Main lines, in order of rising 2θ (2θ from 10° to 90°):
- 2θ 31.08, I 1000
- 2θ 32.10, I 302
- 2θ 32.81, I 316
- 2θ 38.12, I 247
- 2θ 38.73, I 594
- 2θ 40.68, I 273
- 2θ 45.10, I 204
- 2θ 53.22, I 166
- 2θ 62.34, I 157
- 2θ 77.49, I 154


No. 8
Structure and calculated powder X-ray diffraction pattern of Th2ZnGa3Au4 (a PBE-relaxed structure; CuKα).

Crystal structure
```
data_Th2ZnGa3Au4
_chemical_formula_sum 'Th2 Zn1 Ga3 Au4'
_cell_length_a 4.4393
_cell_length_b 4.4393
_cell_length_c 10.4355
_cell_angle_alpha 90.00
_cell_angle_beta 90.00
_cell_angle_gamma 90.00
_space_group_name_H-M_alt 'P -4 m 2'
_space_group_IT_number 115
_space_group_name_Hall 'P -4 -2'
loop_
_atom_site_label
_atom_site_fract_x
_atom_site_fract_y
_atom_site_fract_z
Th1 0.0000 0.5000 0.2470
Zn1 0.0000 0.0000 0.5000
Ga1 0.0000 0.5000 0.8659
Ga2 0.5000 0.5000 0.5000
Au1 0.0000 0.0000 0.0000
Au2 0.0000 0.5000 0.6285
Au3 0.5000 0.5000 0.0000
```

Main lines, in order of rising 2θ (2θ from 10° to 90°):
- 2θ 29.72, I 223
- 2θ 32.71, I 629
- 2θ 33.31, I 1000
- 2θ 40.65, I 657
- 2θ 48.18, I 270
- 2θ 53.12, I 326
- 2θ 58.84, I 223
- 2θ 60.90, I 175
- 2θ 64.81, I 224
- 2θ 69.32, I 246


No. 9
Structure and calculated powder X-ray diffraction pattern of Th2ZnGa4Au3 (a PBE-relaxed structure; CuKα).

Crystal structure
```
data_Th2ZnGa4Au3
_chemical_formula_sum 'Th2 Zn1 Ga4 Au3'
_cell_length_a 4.3279
_cell_length_b 4.3279
_cell_length_c 10.8566
_cell_angle_alpha 90.00
_cell_angle_beta 90.00
_cell_angle_gamma 90.00
_space_group_name_H-M_alt 'P -4 m 2'
_space_group_IT_number 115
_space_group_name_Hall 'P -4 -2'
loop_
_atom_site_label
_atom_site_fract_x
_atom_site_fract_y
_atom_site_fract_z
Th1 0.0000 0.5000 0.2443
Zn1 0.5000 0.5000 0.0000
Ga1 0.0000 0.0000 0.5000
Ga2 0.0000 0.5000 0.8683
Ga3 0.5000 0.5000 0.5000
Au1 0.0000 0.0000 0.0000
Au2 0.0000 0.5000 0.6372
```

Main lines, in order of rising 2θ (2θ from 10° to 90°):
- 2θ 26.34, I 194
- 2θ 29.18, I 269
- 2θ 32.24, I 724
- 2θ 33.62, I 1000
- 2θ 41.74, I 629
- 2θ 46.81, I 403
- 2θ 53.71, I 351
- 2θ 60.51, I 211
- 2θ 64.50, I 313
- 2θ 71.03, I 233


No. 10
Structure and calculated powder X-ray diffraction pattern of Th2Zn3GaAu4 (a PBE-relaxed structure; CuKα).

Crystal structure
```
data_Th2Zn3GaAu4
_chemical_formula_sum 'Th2 Zn3 Ga1 Au4'
_cell_length_a 4.4121
_cell_length_b 4.4121
_cell_length_c 10.5361
_cell_angle_alpha 90.00
_cell_angle_beta 90.00
_cell_angle_gamma 90.00
_space_group_name_H-M_alt 'P -4 m 2'
_space_group_IT_number 115
_space_group_name_Hall 'P -4 -2'
loop_
_atom_site_label
_atom_site_fract_x
_atom_site_fract_y
_atom_site_fract_z
Th1 0.0000 0.5000 0.2462
Zn1 0.0000 0.5000 0.8685
Zn2 0.5000 0.5000 0.5000
Ga1 0.0000 0.0000 0.5000
Au1 0.0000 0.0000 0.0000
Au2 0.0000 0.5000 0.6320
Au3 0.5000 0.5000 0.0000
```

Main lines, in order of rising 2θ (2θ from 10° to 90°):
- 2θ 29.87, I 209
- 2θ 32.59, I 596
- 2θ 33.38, I 1000
- 2θ 40.91, I 630
- 2θ 45.04, I 161
- 2θ 47.84, I 279
- 2θ 53.25, I 304
- 2θ 59.24, I 213
- 2θ 64.72, I 228
- 2θ 69.72, I 243


No. 11
Structure and calculated powder X-ray diffraction pattern of Ti12Ga5Au2 (a PBE-relaxed structure; CuKα).

Crystal structure
```
data_Ti12Ga5Au2
_chemical_formula_sum 'Ti24 Ga10 Au4'
_cell_length_a 11.4858
_cell_length_b 7.6068
_cell_length_c 7.5049
_cell_angle_alpha 90.00
_cell_angle_beta 91.56
_cell_angle_gamma 90.00
_space_group_name_H-M_alt 'C 1 2/m 1'
_space_group_IT_number 12
_space_group_name_Hall '-C 2y'
loop_
_atom_site_label
_atom_site_fract_x
_atom_site_fract_y
_atom_site_fract_z
Ti1 0.0754 0.0000 0.2466
Ti2 0.0949 0.1956 0.8891
Ti3 0.1384 0.5000 0.6023
Ti4 0.1600 0.3164 0.2364
Ga1 0.0000 0.5000 0.0000
Ga2 0.1663 0.0000 0.5917
Ga3 0.2334 0.5000 0.9302
Au1 0.0000 0.2408 0.5000
```

Main lines, in order of rising 2θ (2θ from 10° to 90°):
- 2θ 11.80, I 315
- 2θ 15.43, I 309
- 2θ 19.21, I 259
- 2θ 28.12, I 666
- 2θ 30.78, I 338
- 2θ 37.41, I 701
- 2θ 38.89, I 480
- 2θ 40.07, I 295
- 2θ 40.94, I 1000
- 2θ 43.30, I 270


No. 12
Structure and calculated powder X-ray diffraction pattern of Ti3Ga4Au2 (a PBE-relaxed structure; CuKα).

Crystal structure
```
data_Ti3Ga4Au2
_chemical_formula_sum 'Ti12 Ga16 Au8'
_cell_length_a 12.2978
_cell_length_b 10.2685
_cell_length_c 5.2072
_cell_angle_alpha 90.00
_cell_angle_beta 103.20
_cell_angle_gamma 90.00
_space_group_name_H-M_alt 'C 1 2/c 1'
_space_group_IT_number 15
_space_group_name_Hall '-C 2yc'
loop_
_atom_site_label
_atom_site_fract_x
_atom_site_fract_y
_atom_site_fract_z
Ti1 0.0000 0.0786 0.2500
Ti2 0.0888 0.4209 0.9863
Ga1 0.1092 0.1628 0.8977
Ga2 0.1087 0.3058 0.4813
Au1 0.2202 0.0603 0.5785
```

Main lines, in order of rising 2θ (2θ from 10° to 90°):
- 2θ 14.80, I 560
- 2θ 22.82, I 614
- 2θ 34.69, I 464
- 2θ 35.41, I 323
- 2θ 38.49, I 471
- 2θ 38.61, I 387
- 2θ 38.96, I 328
- 2θ 40.70, I 1000
- 2θ 41.34, I 697
- 2θ 48.41, I 334